No. 1
Cu2BiTeS2: calculated powder diffraction line list (Cu Kα (weighted mean of Kα1 and Kα2)), based on DFT lattice parameters and positions (GGA-PBE).
Peak positions follow from Bragg's law for the DFT cell and can differ from measured ones.

Principal peaks in the range 2θ = 5–70°, low angle first:
Position (°2θ)	Rel. int.
21.00	45
23.65	45
26.03	82
27.51	100
31.34	25
33.69	55
35.71	34
42.27	31
46.84	24
53.52	28

Atomic structure:
```
Cu2BiTeS2
1.0
5.4175 0.0000 0.0000
0.0000 6.8468 0.0000
-0.4875 0.0000 7.3612
Cu Bi Te S
4 2 2 4
direct
0.0586 0.2500 0.1673
0.2627 0.7500 0.1177
0.7373 0.2500 0.8823
0.9414 0.7500 0.8327
0.3572 0.7500 0.6366
0.6428 0.2500 0.3634
0.2395 0.2500 0.8612
0.7605 0.7500 0.1388
0.2540 0.0014 0.3289
0.2540 0.4986 0.3289
0.7460 0.5014 0.6711
0.7460 0.9986 0.6711
```



No. 2
ScCu4Bi: calculated powder diffraction line list (Cu Kα (weighted mean of Kα1 and Kα2)), based on DFT lattice parameters and positions (GGA-PBE).
Peak positions follow from Bragg's law for the DFT cell and can differ from measured ones.

Principal peaks in the range 2θ = 5–70°, low angle first:
Position (°2θ)	Rel. int.
21.06	21
24.37	23
34.73	44
40.97	100
42.88	27
54.77	7
56.31	10
62.25	16
66.50	31

Atomic structure:
```
ScCu4Bi
1.0
0.0000 3.6531 3.6531
3.6531 0.0000 3.6531
3.6531 3.6531 0.0000
Sc Cu Bi
1 4 1
direct
0.0000 0.0000 0.0000
0.3740 0.3740 0.3740
0.3740 0.3740 0.8780
0.3740 0.8780 0.3740
0.8780 0.3740 0.3740
0.7500 0.7500 0.7500
```



No. 3
CuBiSe4: calculated powder diffraction line list (Cu Kα (weighted mean of Kα1 and Kα2)), based on DFT lattice parameters and positions (GGA-PBE).
Peak positions follow from Bragg's law for the DFT cell and can differ from measured ones.

Principal peaks in the range 2θ = 5–70°, low angle first:
Position (°2θ)	Rel. int.
16.30	14
23.71	100
28.89	24
31.19	30
32.95	61
36.97	20
40.97	29
41.99	50
42.11	17
52.09	17

Atomic structure:
```
CuBiSe4
1.0
5.1873 0.0000 0.0000
0.0000 7.6897 0.0000
-0.0332 0.0000 7.6895
Cu Bi Se
2 2 8
direct
0.0000 0.2500 0.2500
0.0000 0.7500 0.7500
0.5000 0.2503 0.7500
0.5000 0.7497 0.2500
0.2062 0.0522 0.4477
0.2060 0.4469 0.0530
0.2060 0.5531 0.5530
0.2062 0.9478 0.9477
0.7938 0.0522 0.0523
0.7940 0.4469 0.4470
0.7940 0.5531 0.9470
0.7938 0.9478 0.5523
```



No. 4
CuBiSe: calculated powder diffraction line list (Cu Kα (weighted mean of Kα1 and Kα2)), based on DFT lattice parameters and positions (GGA-PBE).
Peak positions follow from Bragg's law for the DFT cell and can differ from measured ones.

Principal peaks in the range 2θ = 5–70°, low angle first:
Position (°2θ)	Rel. int.
9.50	24
19.06	46
31.14	100
34.06	17
36.24	20
40.41	31
43.96	17
44.15	17
44.72	18
61.24	18

Atomic structure:
```
CuBiSe
1.0
2.0513 -9.3110 0.0000
2.0513 9.3110 0.0000
0.0000 0.0000 4.1192
Cu Bi Se
2 2 2
direct
0.2223 0.7777 0.7500
0.7777 0.2223 0.2500
0.3627 0.6373 0.7500
0.6373 0.3627 0.2500
0.0957 0.9043 0.7500
0.9043 0.0957 0.2500
```